Diffraction record for RbSmMnF6. The PXRD pattern is calculated, not measured: it uses DFT lattice parameters and positions (PBE+U) and Cu Kα.
Kinematic intensities with the Lorentz-polarization factor, no thermal factor.

The 10 most intense peaks (10 to 80 degrees two-theta), in order of falling intensity:
two_theta  d (Å)  I/Imax  (hkl)
22.95  3.875  100  1 0 2
43.37  2.086  54  1 1 4
29.65  3.013  38  1 1 0
15.32  5.783  28  0 0 2
48.78  1.867  25  2 1 2
18.65  4.757  23  1 0 1
37.82  2.379  22  2 0 2
52.61  1.740  18  3 0 0
33.53  2.672  18  1 1 2
66.60  1.404  11  4 -1 2

Crystal structure
abc: 6.0266 6.0266 11.5662
angles: 90.00 90.00 120.00
Sites, in units of the cell vectors:
Rb 0.0000 0.0000 0.0000
Rb 0.0000 0.0000 0.5000
Sm 0.3333 0.6667 0.2500
Sm 0.6667 0.3333 0.7500
Mn 0.3333 0.6667 0.7500
Mn 0.6667 0.3333 0.2500
F 0.0125 0.3879 0.6493
F 0.0125 0.6246 0.8507
F 0.3754 0.3879 0.8507
F 0.3754 0.9875 0.6493
F 0.3879 0.0125 0.1493
F 0.3879 0.3754 0.3507
F 0.6121 0.6246 0.6493
F 0.6121 0.9875 0.8507
F 0.6246 0.0125 0.3507
F 0.6246 0.6121 0.1493
F 0.9875 0.3754 0.1493
F 0.9875 0.6121 0.3507